(1)
For Li5B8C8, a DFT-relaxed cell (GGA-PBE, Alexandria) gives the calculated PXRD pattern in this record (Cu Kα (λ = 1.5418 Å)).

Largest 12 diffraction maxima, low angle first, 10° ≤ 2θ ≤ 90°:
12.9 deg, I = 7; 17.8 deg, I = 5; 24.0 deg, I = 100; 38.4 deg, I = 6; 45.5 deg, I = 7; 45.7 deg, I = 13; 45.9 deg, I = 20; 49.1 deg, I = 15; 69.4 deg, I = 8; 69.6 deg, I = 5; 74.8 deg, I = 6; 89.8 deg, I = 6

Unit cell a=7.9261 b=7.9261 c=9.3942 alpha=107.86 beta=107.86 gamma=19.62
Element x y z (fractional)
1 Li 0.0000 0.0000 0.0000
2 Li 0.2549 0.2549 0.6485
3 Li 0.4975 0.4975 0.2737
4 Li 0.5025 0.5025 0.7263
5 Li 0.7451 0.7451 0.3515
6 B 0.1185 0.1185 0.2279
7 B 0.1306 0.1306 0.7376
8 B 0.3699 0.3699 0.5135
9 B 0.3811 0.3811 0.0207
10 B 0.6189 0.6189 0.9793
11 B 0.6301 0.6301 0.4865
12 B 0.8694 0.8694 0.2624
13 B 0.8815 0.8815 0.7721
14 C 0.1172 0.1172 0.8930
15 C 0.1279 0.1279 0.3992
16 C 0.3657 0.3657 0.3470
17 C 0.3856 0.3856 0.8574
18 C 0.6144 0.6144 0.1426
19 C 0.6343 0.6343 0.6530
20 C 0.8721 0.8721 0.6008
21 C 0.8828 0.8828 0.1070

---

(2)
For LiB4C4, a DFT-relaxed cell (GGA-PBE, Alexandria) gives the calculated PXRD pattern in this record (Cu Kα (λ = 1.5418 Å)).

Largest 12 diffraction maxima, low angle first, 10° ≤ 2θ ≤ 90°:
20.1 deg, I = 2; 24.2 deg, I = 100; 38.2 deg, I = 3; 39.0 deg, I = 9; 45.8 deg, I = 6; 46.4 deg, I = 16; 49.6 deg, I = 10; 64.8 deg, I = 2; 69.6 deg, I = 6; 71.1 deg, I = 3; 74.9 deg, I = 6; 76.3 deg, I = 3

Unit cell a=8.7342 b=5.4023 c=7.8216 alpha=80.41 beta=37.58 gamma=62.01
Element x y z (fractional)
1 Li 0.1249 0.8751 0.1249
2 Li 0.8751 0.1249 0.8751
3 B 0.3295 0.3295 0.6705
4 B 0.3319 0.8284 0.6681
5 B 0.4079 0.4079 0.0921
6 B 0.4195 0.8967 0.1033
7 B 0.8284 0.3319 0.1716
8 B 0.8294 0.8294 0.1706
9 B 0.8967 0.4195 0.5805
10 B 0.9079 0.9079 0.5921
11 C 0.0600 0.5812 0.4188
12 C 0.0706 0.0706 0.4294
13 C 0.1665 0.1665 0.8335
14 C 0.1674 0.6690 0.8326
15 C 0.5706 0.5706 0.9294
16 C 0.5812 0.0600 0.9400
17 C 0.6675 0.6675 0.3325
18 C 0.6690 0.1674 0.3310

---

(3)
For Li5B8C8, a DFT-relaxed cell (GGA-PBE, Alexandria) gives the calculated PXRD pattern in this record (Cu Kα (λ = 1.5418 Å)).

Largest 12 diffraction maxima, low angle first, 10° ≤ 2θ ≤ 90°:
12.7 deg, I = 5; 25.6 deg, I = 100; 38.1 deg, I = 7; 45.8 deg, I = 7; 46.0 deg, I = 9; 46.5 deg, I = 9; 46.7 deg, I = 7; 47.1 deg, I = 14; 52.6 deg, I = 13; 68.8 deg, I = 5; 69.0 deg, I = 6; 69.2 deg, I = 6

Unit cell a=2.7218 b=4.7147 c=14.0966 alpha=81.80 beta=85.55 gamma=89.66
Element x y z (fractional)
1 Li 0.0000 0.0000 0.0000
2 Li 0.1047 0.1230 0.7423
3 Li 0.3951 0.3782 0.2575
4 Li 0.6049 0.6218 0.7425
5 Li 0.8953 0.8770 0.2577
6 B 0.0515 0.4011 0.8711
7 B 0.1604 0.8454 0.6125
8 B 0.3397 0.6550 0.3873
9 B 0.4466 0.1012 0.1327
10 B 0.5534 0.8988 0.8673
11 B 0.6603 0.3450 0.6127
12 B 0.8396 0.1546 0.3875
13 B 0.9485 0.5989 0.1289
14 C 0.0582 0.7365 0.8651
15 C 0.1534 0.5111 0.6168
16 C 0.3464 0.9885 0.3834
17 C 0.4434 0.7659 0.1307
18 C 0.5566 0.2341 0.8693
19 C 0.6536 0.0115 0.6166
20 C 0.8466 0.4889 0.3832
21 C 0.9418 0.2635 0.1349

---

(4)
For LiB4C4, a DFT-relaxed cell (GGA-PBE, Alexandria) gives the calculated PXRD pattern in this record (Cu Kα (λ = 1.5418 Å)).

Largest 12 diffraction maxima, low angle first, 10° ≤ 2θ ≤ 90°:
15.8 deg, I = 100; 18.4 deg, I = 11; 31.9 deg, I = 8; 37.5 deg, I = 7; 38.6 deg, I = 11; 42.3 deg, I = 10; 43.8 deg, I = 5; 48.7 deg, I = 11; 60.3 deg, I = 3; 68.4 deg, I = 7; 70.6 deg, I = 4; 71.5 deg, I = 4

Unit cell a=6.2179 b=6.2179 c=4.7995 alpha=92.56 beta=92.56 gamma=50.80
Element x y z (fractional)
1 Li 0.1700 0.8300 0.7500
2 Li 0.8300 0.1700 0.2500
3 B 0.0303 0.2687 0.6153
4 B 0.1818 0.4342 0.8942
5 B 0.2687 0.0303 0.1153
6 B 0.4342 0.1818 0.3942
7 B 0.5658 0.8182 0.6058
8 B 0.7313 0.9697 0.8847
9 B 0.8182 0.5658 0.1058
10 B 0.9697 0.7313 0.3847
11 C 0.0046 0.2764 0.9390
12 C 0.1705 0.4555 0.5554
13 C 0.2764 0.0046 0.4390
14 C 0.4555 0.1705 0.0554
15 C 0.5445 0.8295 0.9446
16 C 0.7236 0.9954 0.5610
17 C 0.8295 0.5445 0.4446
18 C 0.9954 0.7236 0.0610

---

(5)
For Li2BPCO7, a DFT-relaxed cell (GGA-PBE, Alexandria) gives the calculated PXRD pattern in this record (Cu Kα (λ = 1.5418 Å)).

Largest 12 diffraction maxima, low angle first, 10° ≤ 2θ ≤ 90°:
17.5 deg, I = 12; 21.4 deg, I = 9; 25.0 deg, I = 100; 25.4 deg, I = 32; 27.2 deg, I = 6; 27.9 deg, I = 16; 28.6 deg, I = 7; 35.9 deg, I = 15; 36.5 deg, I = 8; 40.0 deg, I = 7; 44.3 deg, I = 7; 58.2 deg, I = 8

Unit cell a=5.1844 b=5.0076 c=10.0800 alpha=90.00 beta=102.54 gamma=90.00
Element x y z (fractional)
1 Li 0.1407 0.0014 0.3348
2 Li 0.1407 0.4986 0.3348
3 Li 0.8593 0.5014 0.6652
4 Li 0.8593 0.9986 0.6652
5 B 0.3657 0.7500 0.8497
6 B 0.6343 0.2500 0.1503
7 P 0.3099 0.7500 0.1044
8 P 0.6901 0.2500 0.8956
9 C 0.3110 0.7500 0.5969
10 C 0.6890 0.2500 0.4031
11 O 0.1006 0.7500 0.1876
12 O 0.1490 0.7500 0.4830
13 O 0.1890 0.7500 0.7066
14 O 0.1925 0.7500 0.9472
15 O 0.4403 0.2500 0.3837
16 O 0.4808 0.0034 0.1394
17 O 0.4808 0.4966 0.1394
18 O 0.5192 0.5034 0.8606
19 O 0.5192 0.9966 0.8606
20 O 0.5597 0.7500 0.6163
21 O 0.8075 0.2500 0.0528
22 O 0.8110 0.2500 0.2934
23 O 0.8510 0.2500 0.5170
24 O 0.8994 0.2500 0.8124

---

(6)
For LiB12PC, a DFT-relaxed cell (GGA-PBE, Alexandria) gives the calculated PXRD pattern in this record (Cu Kα (λ = 1.5418 Å)).

Largest 12 diffraction maxima, low angle first, 10° ≤ 2θ ≤ 90°:
13.9 deg, I = 100; 17.4 deg, I = 42; 25.8 deg, I = 36; 28.2 deg, I = 99; 34.1 deg, I = 48; 35.3 deg, I = 26; 35.8 deg, I = 55; 40.8 deg, I = 52; 42.6 deg, I = 20; 46.0 deg, I = 17; 67.1 deg, I = 18; 71.3 deg, I = 21

Unit cell a=7.1273 b=7.1273 c=7.1273 alpha=132.21 beta=110.35 gamma=88.87
Element x y z (fractional)
1 Li 0.0642 0.2500 0.3142
2 Li 0.9358 0.7500 0.6858
3 B 0.1129 0.2878 0.0087
4 B 0.1129 0.6042 0.3251
5 B 0.1420 0.3325 0.7958
6 B 0.1420 0.8462 0.3094
7 B 0.1513 0.6742 0.9771
8 B 0.2772 0.5974 0.1799
9 B 0.2791 0.1042 0.9913
10 B 0.2791 0.7878 0.6749
11 B 0.3063 0.8399 0.9663
12 B 0.4175 0.0974 0.8201
13 B 0.4650 0.1702 0.2795
14 B 0.4650 0.6856 0.7949
15 B 0.5368 0.3462 0.2042
16 B 0.5368 0.8325 0.6906
17 B 0.5787 0.9192 0.1595
18 B 0.6970 0.1742 0.0229
19 B 0.7271 0.2305 0.3213
20 B 0.7271 0.9058 0.9966
21 B 0.7597 0.4192 0.8405
22 B 0.8736 0.3399 0.0337
23 B 0.8907 0.1856 0.7205
24 B 0.8907 0.6702 0.2051
25 B 0.9092 0.4058 0.6787
26 B 0.9092 0.7305 0.0034
27 P 0.4663 0.3363 0.6300
28 P 0.7063 0.8363 0.3700
29 C 0.2806 0.1530 0.6276
30 C 0.5254 0.6530 0.3724

---

(7)
For LuB2C, a DFT-relaxed cell (GGA-PBE, Alexandria) gives the calculated PXRD pattern in this record (Cu Kα (λ = 1.5418 Å)).

Largest 12 diffraction maxima, low angle first, 10° ≤ 2θ ≤ 90°:
24.8 deg, I = 100; 26.3 deg, I = 68; 26.7 deg, I = 53; 29.5 deg, I = 64; 29.8 deg, I = 69; 36.4 deg, I = 66; 36.7 deg, I = 63; 38.9 deg, I = 74; 39.1 deg, I = 87; 45.7 deg, I = 39; 58.1 deg, I = 37; 62.1 deg, I = 36

Unit cell a=6.6782 b=6.7869 c=3.5933 alpha=90.00 beta=90.00 gamma=90.00
Element x y z (fractional)
1 Lu 0.1883 0.1929 0.0000
2 Lu 0.3117 0.6929 0.0000
3 Lu 0.6883 0.3071 0.0000
4 Lu 0.8117 0.8071 0.0000
5 B 0.0964 0.9068 0.5000
6 B 0.1534 0.4669 0.5000
7 B 0.3466 0.9669 0.5000
8 B 0.4036 0.4068 0.5000
9 B 0.5964 0.5932 0.5000
10 B 0.6534 0.0331 0.5000
11 B 0.8466 0.5331 0.5000
12 B 0.9036 0.0932 0.5000
13 C 0.0406 0.6780 0.5000
14 C 0.4594 0.1780 0.5000
15 C 0.5406 0.8220 0.5000
16 C 0.9594 0.3220 0.5000

---

(8)
For Lu3BC3, a DFT-relaxed cell (GGA-PBE, Alexandria) gives the calculated PXRD pattern in this record (Cu Kα (λ = 1.5418 Å)).

Largest 12 diffraction maxima, low angle first, 10° ≤ 2θ ≤ 90°:
27.7 deg, I = 33; 30.5 deg, I = 33; 34.1 deg, I = 100; 36.1 deg, I = 32; 36.3 deg, I = 25; 50.6 deg, I = 15; 52.1 deg, I = 18; 54.9 deg, I = 15; 61.1 deg, I = 20; 63.6 deg, I = 17; 64.9 deg, I = 13; 67.5 deg, I = 14

Unit cell a=3.5324 b=3.5324 c=15.7253 alpha=90.00 beta=90.00 gamma=90.35
Element x y z (fractional)
1 Lu 0.0799 0.9201 0.6041
2 Lu 0.0799 0.9201 0.8959
3 Lu 0.4139 0.5861 0.2500
4 Lu 0.5861 0.4139 0.7500
5 Lu 0.9201 0.0799 0.1041
6 Lu 0.9201 0.0799 0.3959
7 B 0.5000 0.5000 0.0000
8 B 0.5000 0.5000 0.5000
9 C 0.0929 0.9071 0.7500
10 C 0.4091 0.5909 0.0882
11 C 0.4091 0.5909 0.4118
12 C 0.5909 0.4091 0.5882
13 C 0.5909 0.4091 0.9118
14 C 0.9071 0.0929 0.2500